For SbMoOF2, DFT lattice parameters and positions (GGA+U) gives the computed XRD peak list in this record (λ = 1.5418 Å (Cu Kα)).
Intensities are scaled so that the largest is 100.

Top 8 peaks for 2θ = 10–80°, by angle:
- hkl 1 0 1, 2θ = 29.51°, d = 3.027 Å, I = 100
- hkl 1 1 1, 2θ = 36.35°, d = 2.472 Å, I = 6
- hkl 2 0 0, 2θ = 42.22°, d = 2.141 Å, I = 35
- hkl 2 1 1, 2θ = 52.35°, d = 1.748 Å, I = 40
- hkl 2 2 0, 2θ = 61.24°, d = 1.514 Å, I = 21
- hkl 3 0 1, 2θ = 69.42°, d = 1.354 Å, I = 17
- hkl 3 1 1, 2θ = 73.35°, d = 1.291 Å, I = 2
- hkl 2 2 2, 2θ = 77.19°, d = 1.236 Å, I = 7

Cell and atoms:
```
data_SbMoOF2
_space_group_name_H-M_alt 'P 1'
_space_group_IT_number 1
_cell_length_a 4.282
_cell_length_b 4.282
_cell_length_c 4.280
_cell_angle_alpha 90.00
_cell_angle_beta 90.00
_cell_angle_gamma 90.00
loop_
_space_group_symop_operation_xyz
'x,y,z'
loop_
_atom_site_label
_atom_site_type_symbol
_atom_site_fract_x
_atom_site_fract_y
_atom_site_fract_z
_atom_site_occupancy
Sb1 Sb 0.000 0.000 0.000 1
Mo1 Mo 0.500 0.500 0.500 1
O1 O 0.500 0.500 0.000 1
F1 F 0.000 0.500 0.500 1
F2 F 0.500 0.000 0.500 1
```